Theoretical X-ray powder pattern of KYSiO4 for Cu Kα, 1.54184 Å, from a structure optimized by DFT (PBE).
Intensities are scaled so that the largest is 100.

Lattice parameters (Å, degrees): 5.608 5.671 7.329 90.00 105.89 90.00
Space group P2_1/m (No. 11)
One atom of each set of equivalent atoms:
K 0.186 0.250 0.425
Y 0.285 0.250 0.955
Si 0.251 0.750 0.165
O 0.066 0.750 0.302
O 0.068 0.750 0.945
O 0.445 0.524 0.185

Main lines, sorted by position (2θ from 10° to 80°):
- d = 7.049 Å, 2θ 12.6, rel. 100, hkl 0 0 1
- d = 3.908 Å, 2θ 22.8, rel. 39, hkl 1 1 0
- d = 2.994 Å, 2θ 29.8, rel. 24, hkl 0 1 2
- d = 2.921 Å, 2θ 30.6, rel. 23, hkl 1 1 -2
- d = 2.835 Å, 2θ 31.6, rel. 34, hkl 0 2 0
- d = 2.499 Å, 2θ 35.9, rel. 30, hkl 2 0 -2
- d = 2.392 Å, 2θ 37.6, rel. 27, hkl 1 1 2
- d = 2.285 Å, 2θ 39.4, rel. 20, hkl 2 1 -2